# 1
The following is a calculated powder X-ray diffraction pattern of CeGa3Ni. It was derived from a cell relaxed with PBE, using CuKα.

Crystal structure
```
CeGa3Ni
1.0
4.250 0.000 0.000
0.000 4.250 0.000
0.000 0.000 10.149
Ce Ga Ni
2 6 2
Direct
0.000 0.000 0.000 Ce
0.500 0.500 0.500 Ce
0.000 0.000 0.588 Ga
0.000 0.500 0.251 Ga
0.000 0.500 0.751 Ga
0.500 0.000 0.251 Ga
0.500 0.000 0.751 Ga
0.500 0.500 0.088 Ga
0.000 0.000 0.360 Ni
0.500 0.500 0.860 Ni
```

Principal peaks in the range 2θ = 10–90°, sorted by position:
3.005 Å, I 14
2.647 Å, I 49
2.586 Å, I 100
2.125 Å, I 54
1.832 Å, I 22
1.657 Å, I 23
1.503 Å, I 17
1.474 Å, I 12
1.387 Å, I 17
1.299 Å, I 22



# 2
The following is a calculated powder X-ray diffraction pattern of CeGa4Os. It was derived from a cell relaxed with PBE, using CuKα.

Crystal structure
```
CeGa4Os
1.0
9.545 0.000 0.000
0.000 8.884 0.000
0.000 0.000 7.697
Ce Ga Os
6 24 6
Direct
0.250 0.000 0.177 Ce
0.250 0.254 0.663 Ce
0.250 0.746 0.663 Ce
0.750 0.000 0.823 Ce
0.750 0.254 0.337 Ce
0.750 0.746 0.337 Ce
0.000 0.000 0.500 Ga
0.064 0.500 0.838 Ga
0.079 0.261 0.322 Ga
0.079 0.739 0.322 Ga
0.090 0.000 0.844 Ga
0.250 0.343 0.046 Ga
0.250 0.500 0.370 Ga
0.250 0.657 0.046 Ga
0.410 0.000 0.844 Ga
0.421 0.261 0.322 Ga
0.421 0.739 0.322 Ga
0.436 0.500 0.838 Ga
0.500 0.000 0.500 Ga
0.564 0.500 0.162 Ga
0.579 0.261 0.678 Ga
0.579 0.739 0.678 Ga
0.590 0.000 0.156 Ga
0.750 0.343 0.954 Ga
0.750 0.500 0.630 Ga
0.750 0.657 0.954 Ga
0.910 0.000 0.156 Ga
0.921 0.261 0.678 Ga
0.921 0.739 0.678 Ga
0.936 0.500 0.162 Ga
0.000 0.240 0.000 Os
0.000 0.500 0.500 Os
0.000 0.760 0.000 Os
0.500 0.240 0.000 Os
0.500 0.500 0.500 Os
0.500 0.760 0.000 Os
```

Principal peaks in the range 2θ = 10–90°, sorted by position:
2.995 Å, I 58
2.452 Å, I 82
2.387 Å, I 23
2.222 Å, I 100
2.028 Å, I 25
1.784 Å, I 22
1.626 Å, I 20
1.470 Å, I 21
1.391 Å, I 20
1.323 Å, I 25



# 3
The following is a calculated powder X-ray diffraction pattern of CeGa8Pd3. It was derived from a cell relaxed with PBE, using CuKα.

Crystal structure
```
CeGa8Pd3
1.0
6.015 3.473 4.938
-6.015 3.473 4.938
0.000 -6.945 4.938
Ce Ga Pd
3 24 9
Direct
0.000 0.500 0.500 Ce
0.500 0.000 0.500 Ce
0.500 0.500 0.000 Ce
0.000 0.239 0.761 Ga
0.000 0.761 0.239 Ga
0.015 0.768 0.768 Ga
0.142 0.142 0.489 Ga
0.142 0.489 0.142 Ga
0.232 0.232 0.985 Ga
0.232 0.985 0.232 Ga
0.239 0.000 0.761 Ga
0.239 0.761 0.000 Ga
0.339 0.339 0.641 Ga
0.339 0.641 0.339 Ga
0.359 0.661 0.661 Ga
0.489 0.142 0.142 Ga
0.511 0.858 0.858 Ga
0.641 0.339 0.339 Ga
0.661 0.359 0.661 Ga
0.661 0.661 0.359 Ga
0.761 0.000 0.239 Ga
0.761 0.239 0.000 Ga
0.768 0.015 0.768 Ga
0.768 0.768 0.015 Ga
0.858 0.511 0.858 Ga
0.858 0.858 0.511 Ga
0.985 0.232 0.232 Ga
0.000 0.000 0.000 Pd
0.164 0.500 0.836 Pd
0.164 0.836 0.500 Pd
0.337 0.337 0.337 Pd
0.500 0.164 0.836 Pd
0.500 0.836 0.164 Pd
0.663 0.663 0.663 Pd
0.836 0.164 0.500 Pd
0.836 0.500 0.164 Pd
```

Principal peaks in the range 2θ = 10–90°, sorted by position:
2.695 Å, I 35
2.570 Å, I 100
2.565 Å, I 24
2.457 Å, I 63
2.367 Å, I 30
2.066 Å, I 70
2.012 Å, I 42
2.005 Å, I 38
1.858 Å, I 25
1.420 Å, I 23



# 4
The following is a calculated powder X-ray diffraction pattern of CeGa3Pd2. It was derived from a cell relaxed with PBE, using CuKα.

Crystal structure
```
CeGa3Pd2
1.0
5.400 0.000 0.000
-2.700 4.676 0.000
0.000 0.000 4.320
Ce Ga Pd
1 3 2
Direct
0.000 0.000 0.000 Ce
0.000 0.500 0.500 Ga
0.500 0.000 0.500 Ga
0.500 0.500 0.500 Ga
0.333 0.667 0.000 Pd
0.667 0.333 0.000 Pd
```

Principal peaks in the range 2θ = 10–90°, sorted by position:
3.173 Å, I 14
2.700 Å, I 35
2.338 Å, I 18
2.289 Å, I 100
2.160 Å, I 25
1.687 Å, I 17
1.466 Å, I 24
1.350 Å, I 16
1.270 Å, I 15
1.145 Å, I 19



# 5
The following is a calculated powder X-ray diffraction pattern of CeGa6Pd. It was derived from a cell relaxed with PBE, using CuKα.

Crystal structure
```
CeGa6Pd
1.0
4.455 0.000 0.000
0.000 4.455 0.000
0.000 0.000 7.895
Ce Ga Pd
1 6 1
Direct
0.000 0.000 0.000 Ce
0.000 0.500 0.326 Ga
0.000 0.500 0.674 Ga
0.500 0.000 0.326 Ga
0.500 0.000 0.674 Ga
0.500 0.500 0.152 Ga
0.500 0.500 0.848 Ga
0.000 0.000 0.500 Pd
```

Principal peaks in the range 2θ = 10–90°, sorted by position:
2.954 Å, I 82
2.926 Å, I 58
2.462 Å, I 76
2.228 Å, I 100
2.020 Å, I 50
1.804 Å, I 29
1.779 Å, I 37
1.575 Å, I 33
1.402 Å, I 25
1.327 Å, I 21



# 6
The following is a calculated powder X-ray diffraction pattern of CeGaPd2. It was derived from a cell relaxed with PBE, using CuKα.

Crystal structure
```
CeGaPd2
1.0
7.651 0.000 0.000
0.000 7.093 0.000
0.000 0.000 5.759
Ce Ga Pd
4 4 8
Direct
0.034 0.250 0.155 Ce
0.466 0.750 0.655 Ce
0.534 0.250 0.345 Ce
0.966 0.750 0.845 Ce
0.118 0.750 0.347 Ga
0.382 0.250 0.847 Ga
0.618 0.750 0.153 Ga
0.882 0.250 0.653 Ga
0.179 0.050 0.587 Pd
0.179 0.450 0.587 Pd
0.321 0.550 0.087 Pd
0.321 0.950 0.087 Pd
0.679 0.050 0.913 Pd
0.679 0.450 0.913 Pd
0.821 0.550 0.413 Pd
0.821 0.950 0.413 Pd
```

Principal peaks in the range 2θ = 10–90°, sorted by position:
2.907 Å, I 53
2.809 Å, I 39
2.695 Å, I 35
2.601 Å, I 78
2.519 Å, I 100
2.370 Å, I 65
2.332 Å, I 70
2.146 Å, I 38
2.103 Å, I 47
1.486 Å, I 38



# 7
The following is a calculated powder X-ray diffraction pattern of Ce2Ga10Pd. It was derived from a cell relaxed with PBE, using CuKα.

Crystal structure
```
Ce2Ga10Pd
1.0
-2.210 2.210 13.088
2.210 -2.210 13.088
2.210 2.210 -13.088
Ce Ga Pd
2 10 1
Direct
0.144 0.144 0.000 Ce
0.856 0.856 0.000 Ce
0.052 0.552 0.500 Ga
0.250 0.750 0.500 Ga
0.302 0.302 0.000 Ga
0.395 0.395 0.000 Ga
0.448 0.948 0.500 Ga
0.552 0.052 0.500 Ga
0.605 0.605 0.000 Ga
0.698 0.698 0.000 Ga
0.750 0.250 0.500 Ga
0.948 0.448 0.500 Ga
0.000 0.000 0.000 Pd
```

Principal peaks in the range 2θ = 10–90°, sorted by position:
2.855 Å, I 84
2.820 Å, I 66
2.541 Å, I 62
2.210 Å, I 100
2.007 Å, I 38
1.832 Å, I 27
1.747 Å, I 39
1.563 Å, I 33
1.411 Å, I 22
1.126 Å, I 19



# 8
The following is a calculated powder X-ray diffraction pattern of CeGaPd. It was derived from a cell relaxed with PBE, using CuKα.

Crystal structure
```
CeGaPd
1.0
7.081 0.000 0.000
0.000 4.500 0.000
0.000 0.000 7.839
Ce Ga Pd
4 4 4
Direct
0.018 0.250 0.203 Ce
0.482 0.750 0.703 Ce
0.518 0.250 0.297 Ce
0.982 0.750 0.797 Ce
0.176 0.250 0.579 Ga
0.324 0.750 0.079 Ga
0.676 0.250 0.921 Ga
0.824 0.750 0.421 Ga
0.220 0.750 0.407 Pd
0.280 0.250 0.907 Pd
0.720 0.750 0.093 Pd
0.780 0.250 0.593 Pd
```

Principal peaks in the range 2θ = 10–90°, sorted by position:
3.422 Å, I 7
2.728 Å, I 29
2.624 Å, I 100
2.451 Å, I 8
2.260 Å, I 53
2.250 Å, I 29
1.709 Å, I 15
1.595 Å, I 8
1.430 Å, I 14
1.360 Å, I 9



# 9
The following is a calculated powder X-ray diffraction pattern of Ce2Ga7Pd. It was derived from a cell relaxed with PBE, using CuKα.

Crystal structure
```
Ce2Ga7Pd
1.0
4.369 0.000 0.000
0.000 4.369 0.000
0.000 0.000 10.457
Ce Ga Pd
2 7 1
Direct
0.000 0.000 0.000 Ce
0.500 0.500 0.494 Ce
0.000 0.000 0.387 Ga
0.000 0.000 0.620 Ga
0.000 0.500 0.246 Ga
0.000 0.500 0.752 Ga
0.500 0.000 0.246 Ga
0.500 0.000 0.752 Ga
0.500 0.500 0.896 Ga
0.500 0.500 0.129 Pd
```

Principal peaks in the range 2θ = 10–90°, sorted by position:
3.090 Å, I 20
2.725 Å, I 66
2.660 Å, I 100
2.185 Å, I 64
1.996 Å, I 14
1.886 Å, I 30
1.704 Å, I 32
1.545 Å, I 21
1.428 Å, I 23
1.336 Å, I 23



# 10
The following is a calculated powder X-ray diffraction pattern of Ce2Ga12Pd. It was derived from a cell relaxed with PBE, using CuKα.

Crystal structure
```
Ce2Ga12Pd
1.0
6.124 0.000 0.000
0.000 6.124 0.000
0.000 0.000 15.664
Ce Ga Pd
4 24 2
Direct
0.250 0.750 0.246 Ce
0.250 0.750 0.754 Ce
0.750 0.250 0.246 Ce
0.750 0.250 0.754 Ce
0.000 0.000 0.089 Ga
0.000 0.000 0.911 Ga
0.000 0.500 0.089 Ga
0.000 0.500 0.911 Ga
0.074 0.574 0.428 Ga
0.074 0.926 0.572 Ga
0.250 0.250 0.185 Ga
0.250 0.250 0.341 Ga
0.250 0.250 0.659 Ga
0.250 0.250 0.815 Ga
0.426 0.574 0.572 Ga
0.426 0.926 0.428 Ga
0.500 0.000 0.089 Ga
0.500 0.000 0.911 Ga
0.500 0.500 0.089 Ga
0.500 0.500 0.911 Ga
0.574 0.074 0.572 Ga
0.574 0.426 0.428 Ga
0.750 0.750 0.185 Ga
0.750 0.750 0.341 Ga
0.750 0.750 0.659 Ga
0.750 0.750 0.815 Ga
0.926 0.074 0.428 Ga
0.926 0.426 0.572 Ga
0.250 0.750 0.000 Pd
0.750 0.250 0.000 Pd
```

Principal peaks in the range 2θ = 10–90°, sorted by position:
2.905 Å, I 73
2.852 Å, I 100
2.412 Å, I 49
2.236 Å, I 35
2.190 Å, I 23
2.165 Å, I 82
1.987 Å, I 38
1.784 Å, I 19
1.736 Å, I 38
1.377 Å, I 28



# 11
The following is a calculated powder X-ray diffraction pattern of CeYGa2Pd4. It was derived from a cell relaxed with PBE, using CuKα.

Crystal structure
```
CeYGa2Pd4
1.0
7.132 0.000 0.000
0.000 5.701 0.000
0.000 0.000 7.455
Ce Y Ga Pd
2 2 4 8
Direct
0.000 0.101 0.000 Ce
0.000 0.899 0.500 Ce
0.500 0.401 0.068 Y
0.500 0.599 0.568 Y
0.000 0.401 0.649 Ga
0.000 0.599 0.149 Ga
0.500 0.101 0.416 Ga
0.500 0.899 0.916 Ga
0.198 0.337 0.353 Pd
0.198 0.663 0.853 Pd
0.302 0.164 0.716 Pd
0.302 0.836 0.216 Pd
0.698 0.164 0.716 Pd
0.698 0.836 0.216 Pd
0.802 0.337 0.353 Pd
0.802 0.663 0.853 Pd
```

Principal peaks in the range 2θ = 10–90°, sorted by position:
2.858 Å, I 47
2.802 Å, I 37
2.662 Å, I 41
2.577 Å, I 82
2.494 Å, I 100
2.348 Å, I 68
2.278 Å, I 75
2.133 Å, I 50
2.105 Å, I 60
1.772 Å, I 28



# 12
The following is a calculated powder X-ray diffraction pattern of CeGaPt4. It was derived from a cell relaxed with PBE, using CuKα.

Crystal structure
```
CeGaPt4
1.0
5.505 0.000 0.000
-2.753 4.768 0.000
0.000 0.000 4.277
Ce Ga Pt
1 1 4
Direct
0.000 0.000 0.000 Ce
0.333 0.667 0.000 Ga
0.002 0.501 0.500 Pt
0.499 0.501 0.500 Pt
0.499 0.998 0.500 Pt
0.667 0.333 0.000 Pt
```

Principal peaks in the range 2θ = 10–90°, sorted by position:
4.768 Å, I 38
3.184 Å, I 34
2.384 Å, I 53
2.315 Å, I 100
2.139 Å, I 36
2.082 Å, I 69
1.592 Å, I 31
1.490 Å, I 25
1.377 Å, I 32
1.157 Å, I 31